Diffraction record for Be2HgTeO6. The powder diffraction line list is calculated, not measured: it uses the PBE geometry in Alexandria and λ = 1.5418 Å (Cu Kα).
Intensities are scaled so that the largest is 100.

Cell and atoms:
Lattice parameters (Å, degrees): 6.5034 6.5034 5.9836 104.03 104.03 85.59
Sites, in units of the cell vectors:
Be (0.1209, 0.2684, 0.1421)
Be (0.2684, 0.1209, 0.6421)
Be (0.7316, 0.8791, 0.3579)
Be (0.8791, 0.7316, 0.8579)
Hg (0.4068, 0.5932, 0.7500)
Hg (0.5932, 0.4068, 0.2500)
Te (0.2091, 0.7909, 0.2500)
Te (0.7909, 0.2091, 0.7500)
O (0.1040, 0.2166, 0.8167)
O (0.1345, 0.7281, 0.9134)
O (0.2166, 0.1040, 0.3167)
O (0.2425, 0.4891, 0.2744)
O (0.2719, 0.8655, 0.5866)
O (0.4891, 0.2425, 0.7744)
O (0.5109, 0.7575, 0.2256)
O (0.7281, 0.1345, 0.4134)
O (0.7575, 0.5109, 0.7256)
O (0.7834, 0.8960, 0.6833)
O (0.8655, 0.2719, 0.0866)
O (0.8960, 0.7834, 0.1833)

Largest 6 diffraction maxima, low angle first, 10 to 90 degrees two-theta:
14.04°, 6.308 Å, rel. 58; 19.71°, 4.504 Å, rel. 100; 25.60°, 3.480 Å, rel. 48; 29.06°, 3.073 Å, rel. 57; 31.69°, 2.824 Å, rel. 42; 42.25°, 2.139 Å, rel. 42